Theoretical powder diffraction line list
Compound: K4Rb5Cd
Radiation: CuKα
Structure: a cell relaxed with GGA-PBE
Kinematic intensities with the Lorentz-polarization factor, no thermal factor.

Peak list (12 most intense, 10 to 80 degrees two-theta, sorted by position)
2θ 11.05, d = 8.007 Å, intensity 15
2θ 21.62, d = 4.111 Å, intensity 11
2θ 23.19, d = 3.836 Å, intensity 100
2θ 25.00, d = 3.563 Å, intensity 28
2θ 26.31, d = 3.387 Å, intensity 56
2θ 26.94, d = 3.310 Å, intensity 13
2θ 31.31, d = 2.857 Å, intensity 17
2θ 36.63, d = 2.453 Å, intensity 17
2θ 37.55, d = 2.395 Å, intensity 21
2θ 43.85, d = 2.064 Å, intensity 11
2θ 44.60, d = 2.032 Å, intensity 33
2θ 45.65, d = 1.987 Å, intensity 15

```
K4Rb5Cd
1.0
4.7900 0.0000 0.0000
0.0000 4.7900 0.0000
0.0000 0.0000 32.0294
K Rb Cd
4 5 1
Cartesian
0.0000 0.0000 3.4638
0.0000 0.0000 10.4557
0.0000 0.0000 21.5738
0.0000 0.0000 28.5656
2.3950 2.3950 0.0000
2.3950 2.3950 6.9562
2.3950 2.3950 13.8676
2.3950 2.3950 18.1619
2.3950 2.3950 25.0733
0.0000 0.0000 16.0147
```

Theoretical powder diffraction line list
Compound: BaPt2Br
Radiation: CuKα
Structure: a cell relaxed with GGA-PBE
Kinematic intensities with the Lorentz-polarization factor, no thermal factor.

Peak list (12 most intense, 10 to 80 degrees two-theta, sorted by position)
2θ 17.17, d = 5.165 Å, intensity 100
2θ 19.47, d = 4.560 Å, intensity 62
2θ 26.05, d = 3.421 Å, intensity 67
2θ 31.69, d = 2.824 Å, intensity 60
2θ 32.18, d = 2.781 Å, intensity 25
2θ 32.63, d = 2.744 Å, intensity 28
2θ 38.90, d = 2.315 Å, intensity 25
2θ 39.53, d = 2.280 Å, intensity 33
2θ 40.02, d = 2.253 Å, intensity 63
2θ 40.74, d = 2.215 Å, intensity 31
2θ 55.33, d = 1.660 Å, intensity 25
2θ 58.06, d = 1.589 Å, intensity 21

```
BaPt2Br
1.0
5.7932 -2.2149 0.0000
5.7932 2.2149 0.0000
-1.7450 0.0000 5.1652
Ba Pt Br
1 2 1
Cartesian
0.0000 0.0000 0.0000
3.1957 0.0000 0.4895
6.6456 0.0000 4.6757
4.9207 0.0000 2.5826
```

Theoretical powder diffraction line list
Compound: Li6Cu2Pd
Radiation: CuKα
Structure: a cell relaxed with GGA-PBE
Kinematic intensities with the Lorentz-polarization factor, no thermal factor.

Peak list (12 most intense, 10 to 80 degrees two-theta, sorted by position)
2θ 17.78, d = 4.987 Å, intensity 5
2θ 23.82, d = 3.736 Å, intensity 100
2θ 34.37, d = 2.609 Å, intensity 11
2θ 41.88, d = 2.157 Å, intensity 32
2θ 42.25, d = 2.139 Å, intensity 55
2θ 48.75, d = 1.868 Å, intensity 14
2θ 55.26, d = 1.662 Å, intensity 16
2θ 61.00, d = 1.519 Å, intensity 18
2θ 66.18, d = 1.412 Å, intensity 11
2θ 76.49, d = 1.245 Å, intensity 5
2θ 76.75, d = 1.242 Å, intensity 17
2θ 77.51, d = 1.232 Å, intensity 6

```
Li6Cu2Pd
1.0
3.7361 2.1571 2.6089
-3.7361 2.1571 2.6089
0.0000 -4.3141 2.6089
Li Cu Pd
6 2 1
Cartesian
-1.2527 -2.1443 2.6089
-2.4834 -0.0128 2.6089
1.2527 -2.1443 2.6089
-1.2306 2.1571 2.6089
2.4834 -0.0128 2.6089
1.2306 2.1571 2.6089
0.0000 0.0000 1.2585
0.0000 0.0000 6.5682
0.0000 0.0000 3.9133
```

Theoretical powder diffraction line list
Compound: Pm2Dy4Sn3O2
Radiation: CuKα
Structure: a cell relaxed with GGA-PBE
Kinematic intensities with the Lorentz-polarization factor, no thermal factor.

Peak list (12 most intense, 10 to 80 degrees two-theta, sorted by position)
2θ 27.97, d = 3.190 Å, intensity 45
2θ 28.10, d = 3.175 Å, intensity 17
2θ 30.56, d = 2.925 Å, intensity 16
2θ 31.24, d = 2.863 Å, intensity 14
2θ 34.49, d = 2.601 Å, intensity 100
2θ 38.63, d = 2.331 Å, intensity 53
2θ 48.45, d = 1.879 Å, intensity 16
2θ 53.35, d = 1.717 Å, intensity 12
2θ 55.78, d = 1.648 Å, intensity 18
2θ 58.94, d = 1.567 Å, intensity 12
2θ 63.57, d = 1.464 Å, intensity 16
2θ 67.26, d = 1.392 Å, intensity 30

```
Pm2Dy4Sn3O2
1.0
-2.3306 2.3306 12.7001
2.3306 -2.3306 12.7001
2.3306 2.3306 -12.7001
Pm Dy Sn O
2 4 3 2
Cartesian
0.0000 0.0000 4.9474
0.0000 0.0000 20.4529
2.3306 0.0000 2.0881
2.3306 0.0000 10.6120
0.0000 2.3306 2.0881
0.0000 2.3306 10.6120
0.0000 0.0000 8.2417
0.0000 0.0000 12.7001
0.0000 0.0000 17.1586
0.0000 0.0000 2.3927
0.0000 0.0000 23.0076
```